1.
The following is a theoretical PXRD pattern of TmB4Os. It was derived from a crystal structure in the Materials Project, relaxed with PBE, using Cu Kα X-rays.
Kinematic intensities with the Lorentz-polarization factor, no thermal factor.

Most intense lines, 2θ from 10° to 90°, by intensity:
two_theta	I/Imax	h k l
40.42	100	0 4 1
25.11	88	0 0 1
31.15	86	0 4 0
46.43	39	2 3 1
38.39	29	2 3 0
43.33	27	1 4 1
61.45	26	0 4 2
34.73	21	1 4 0
51.53	18	0 0 2
72.89	13	1 8 1

Structural model:
a b c (Å): 5.9344 11.4763 3.5470
angles (deg): 90.00 90.00 90.00
Space group Pbam (No. 55)
One atom of each set of equivalent atoms:
1 Tm 0.1287 0.1500 0.0000 (multiplicity 4)
2 B 0.0243 0.6922 0.5000 (multiplicity 4)
3 B 0.1131 0.5472 0.5000 (multiplicity 4)
4 B 0.1353 0.9701 0.5000 (multiplicity 4)
5 B 0.2092 0.8138 0.5000 (multiplicity 4)
6 Os 0.1421 0.4061 0.0000 (multiplicity 4)

---

2.
The following is a theoretical PXRD pattern of In3NO3. It was derived from a crystal structure in the Materials Project, relaxed with PBE, using Cu Kα X-rays.
Kinematic intensities with the Lorentz-polarization factor, no thermal factor.

Most intense lines, 2θ from 10° to 90°, by intensity:
two_theta	I/Imax	h k l
31.91	100	2 1 1
32.04	49	1 3 0
56.05	49	4 0 0
27.18	33	1 2 1
51.24	20	0 5 1
50.96	20	2 1 3
33.36	19	0 2 2
33.47	14	2 2 0
51.06	14	3 1 2
38.70	12	2 0 2

Structural model:
a b c (Å): 6.5633 9.2562 6.5970
angles (deg): 90.00 90.00 90.00
Space group Ima2 (No. 46)
One atom of each set of equivalent atoms:
1 In 0.0000 0.0000 0.0000 (multiplicity 4)
2 In 0.2500 0.1160 0.5207 (multiplicity 4)
3 In 0.2500 0.7471 0.2576 (multiplicity 4)
4 N 0.2500 0.5139 0.2823 (multiplicity 4)
5 O 0.0122 0.7457 0.5096 (multiplicity 8)
6 O 0.2500 0.5117 0.7427 (multiplicity 4)

---

3.
The following is a theoretical PXRD pattern of DyAgGe. It was derived from a crystal structure in the Materials Project, relaxed with PBE, using Cu Kα X-rays.
Kinematic intensities with the Lorentz-polarization factor, no thermal factor.

Most intense lines, 2θ from 10° to 90°, by intensity:
two_theta	I/Imax	h k l
32.58	100	1 1 1
35.53	69	2 0 1
42.24	43	3 0 0
62.79	25	3 0 2
37.06	25	2 1 0
67.60	25	3 2 1
44.20	24	0 0 2
43.34	20	2 1 1
59.01	13	2 1 2
78.00	12	5 0 1

Structural model:
a b c (Å): 7.4114 7.4114 4.0984
angles (deg): 90.00 90.00 120.00
Space group P-62m (No. 189)
One atom of each set of equivalent atoms:
1 Dy 0.0000 0.6057 0.0000 (multiplicity 3)
2 Ag 0.0000 0.0000 0.0000 (multiplicity 1)
3 Ag 0.3333 0.6667 0.5000 (multiplicity 2)
4 Ge 0.0000 0.2682 0.5000 (multiplicity 3)